Record 1
The following is a theoretical X-ray powder pattern of RbTb2P2N6. It was derived from a cell relaxed with PBE, using Cu Kα.
Peak positions follow from Bragg's law for the DFT cell and can differ from measured ones.

Peak list (10 most intense, 5° ≤ 2θ ≤ 70°, most intense first)
- hkl 3 1 0, 30.8 deg, I = 100
- hkl 2 0 -1, 17.1 deg, I = 98
- hkl 1 1 -2, 32.1 deg, I = 70
- hkl 1 1 1, 26.2 deg, I = 69
- hkl 2 2 -1, 33.2 deg, I = 63
- hkl 0 2 0, 28.2 deg, I = 59
- hkl 1 1 0, 16.7 deg, I = 33
- hkl 5 1 -1, 42.9 deg, I = 28
- hkl 4 2 -2, 45.2 deg, I = 26
- hkl 2 0 0, 18.1 deg, I = 21

Atomic structure:
Cell lengths 11.343, 6.320, 6.417 Å; angles 90.00, 120.24, 90.00 degrees
Space group C2/m (No. 12)
One atom of each set of equivalent atoms:
Rb  0.000  0.000  0.000
Tb  0.177  0.500  0.303
P  0.153  0.500  0.743
N  0.066  0.500  0.870
N  0.198  0.293  0.664

---

Record 2
The following is a theoretical X-ray powder pattern of Tm2Al2Tc2C. It was derived from a cell relaxed with PBE, using Cu Kα.
Peak positions follow from Bragg's law for the DFT cell and can differ from measured ones.

Peak list (10 most intense, 5° ≤ 2θ ≤ 70°, most intense first)
- hkl 3 1 0, 36.4 deg, I = 100
- hkl 1 1 -2, 38.1 deg, I = 99
- hkl 4 0 -2, 36.5 deg, I = 51
- hkl 2 0 2, 37.9 deg, I = 43
- hkl 1 1 0, 27.5 deg, I = 32
- hkl 2 0 0, 16.5 deg, I = 31
- hkl 4 2 -2, 66.9 deg, I = 25
- hkl 0 0 1, 14.3 deg, I = 25
- hkl 4 0 0, 33.4 deg, I = 21
- hkl 5 1 2, 66.3 deg, I = 18

Atomic structure:
Cell lengths 11.345, 3.404, 6.550 Å; angles 90.00, 108.75, 90.00 degrees
Space group C2/m (No. 12)
One atom of each set of equivalent atoms:
Tm  0.004  0.000  0.257
Al  0.194  0.500  0.619
Tc  0.182  0.500  0.092
C  0.000  0.500  0.000

---

Record 3
The following is a theoretical X-ray powder pattern of Ba4PtBr3. It was derived from a cell relaxed with PBE, using Cu Kα.
Peak positions follow from Bragg's law for the DFT cell and can differ from measured ones.

Peak list (10 most intense, 5° ≤ 2θ ≤ 70°, most intense first)
- hkl 1 2 1, 25.8 deg, I = 100
- hkl 2 0 -2, 26.3 deg, I = 50
- hkl 3 2 -1, 36.2 deg, I = 43
- hkl 1 2 -3, 38.2 deg, I = 36
- hkl 2 0 2, 37.1 deg, I = 18
- hkl 1 0 0, 10.8 deg, I = 17
- hkl 2 4 -2, 45.7 deg, I = 17
- hkl 0 4 0, 36.6 deg, I = 17
- hkl 0 0 4, 47.6 deg, I = 10
- hkl 2 4 2, 53.1 deg, I = 10

Atomic structure:
Cell lengths 8.638, 9.809, 8.068 Å; angles 90.00, 108.85, 90.00 degrees
Space group P2/c (No. 13)
One atom of each set of equivalent atoms:
Ba  0.212  0.106  0.498
Ba  0.231  0.346  0.976
Pt  0.000  0.127  0.750
Br  0.000  0.395  0.250
Br  0.500  0.135  0.250
Br  0.500  0.398  0.750

---

Record 4
The following is a theoretical X-ray powder pattern of LaPdRu. It was derived from a cell relaxed with PBE, using Cu Kα.
Peak positions follow from Bragg's law for the DFT cell and can differ from measured ones.

Peak list (10 most intense, 5° ≤ 2θ ≤ 70°, most intense first)
- hkl 1 2 1, 38.4 deg, I = 100
- hkl 2 1 1, 40.1 deg, I = 81
- hkl 1 1 2, 32.1 deg, I = 71
- hkl 0 1 3, 36.4 deg, I = 57
- hkl 2 2 4, 67.2 deg, I = 53
- hkl 1 0 3, 37.0 deg, I = 51
- hkl 0 2 2, 39.1 deg, I = 47
- hkl 2 0 2, 41.3 deg, I = 45
- hkl 2 3 1, 62.9 deg, I = 21
- hkl 3 2 1, 64.9 deg, I = 21

Atomic structure:
Cell lengths 5.148, 5.553, 8.256 Å; angles 90.00, 90.00, 90.00 degrees
Space group Imma (No. 74)
One atom of each set of equivalent atoms:
La  0.000  0.250  0.122
Pd  0.000  0.000  0.500
Ru  0.250  0.250  0.750

---

Record 5
The following is a theoretical X-ray powder pattern of TbNdYMg. It was derived from a cell relaxed with PBE, using Cu Kα.
Peak positions follow from Bragg's law for the DFT cell and can differ from measured ones.

Peak list (10 most intense, 5° ≤ 2θ ≤ 70°, most intense first)
- hkl 1 0 2, 31.3 deg, I = 100
- hkl 1 1 0, 34.3 deg, I = 42
- hkl 2 1 2, 59.6 deg, I = 32
- hkl 1 0 1, 26.1 deg, I = 30
- hkl 0 0 1, 9.9 deg, I = 21
- hkl 1 1 4, 53.8 deg, I = 17
- hkl 2 0 0, 49.3 deg, I = 15
- hkl 1 1 3, 46.1 deg, I = 13
- hkl 1 0 5, 57.0 deg, I = 11
- hkl 0 0 3, 29.9 deg, I = 11

Atomic structure:
Cell lengths 3.699, 3.699, 8.976 Å; angles 90.00, 90.00, 90.00 degrees
Space group P4mm (No. 99)
One atom of each set of equivalent atoms:
Tb  0.000  0.000  0.000
Nd  0.500  0.500  0.724
Y  0.000  0.000  0.444
Mg  0.500  0.500  0.223

---

Record 6
The following is a theoretical X-ray powder pattern of Tl2Rh2O7. It was derived from a cell relaxed with PBE, using Cu Kα.
Peak positions follow from Bragg's law for the DFT cell and can differ from measured ones.

Peak list (10 most intense, 5° ≤ 2θ ≤ 70°, most intense first)
- hkl 2 2 2, 30.0 deg, I = 100
- hkl 4 4 0, 50.1 deg, I = 45
- hkl 6 2 2, 59.5 deg, I = 44
- hkl 4 0 0, 34.8 deg, I = 36
- hkl 4 4 4, 62.4 deg, I = 11
- hkl 1 1 1, 14.9 deg, I = 9
- hkl 3 3 1, 38.1 deg, I = 8
- hkl 3 1 1, 28.7 deg, I = 5
- hkl 5 1 1, 45.7 deg, I = 4
- hkl 5 3 1, 52.5 deg, I = 3

Atomic structure:
Cell lengths 10.307, 10.307, 10.307 Å; angles 90.00, 90.00, 90.00 degrees
Space group Fd-3m (No. 227, origin choice 2)
One atom of each set of equivalent atoms:
Tl  0.000  0.000  0.000
Rh  0.000  0.000  0.500
O  0.079  0.375  0.875
O  0.125  0.125  0.125